Record 1
For MgVNi, a crystal structure in Alexandria, relaxed with PBE gives the simulated XRD peak list in this record (Cu Ka).

Top 10 peaks for 10 to 80 degrees two-theta, sorted by position:
h k l, two_theta, I (rel.)
0 0 2, 15.08, 28
1 1 1, 34.21, 4
1 1 3, 40.71, 100
0 0 6, 46.38, 14
0 2 0, 47.56, 16
2 0 0, 48.12, 16
1 1 5, 51.67, 11
0 2 6, 68.61, 8
2 0 6, 69.06, 8
2 2 0, 69.98, 9

Structure:
a = 3.782 Å, b = 3.824 Å, c = 11.746 Å
α = 90.00°, β = 90.00°, γ = 90.00°
Space group Cmmm (No. 65)
Symmetry-distinct sites (fractional):
Mg 0.000 0.000 0.155 x4
V 0.000 0.500 0.353 x4
Ni 0.000 0.000 0.500 x2
Ni 0.000 0.500 0.000 x2


Record 2
For Pu2Ga9Sn, a crystal structure in Alexandria, relaxed with PBE gives the simulated XRD peak list in this record (Cu Ka).

Top 10 peaks for 10 to 80 degrees two-theta, sorted by position:
h k l, two_theta, I (rel.)
1 0 0, 20.67, 17
1 0 3, 29.16, 15
1 1 3, 36.01, 100
0 0 6, 41.35, 17
2 0 0, 42.06, 33
2 0 6, 60.46, 22
2 2 0, 61.00, 11
1 1 9, 71.93, 13
3 1 3, 72.92, 25
2 2 6, 76.38, 11

Structure:
a = 4.296 Å, b = 4.296 Å, c = 13.100 Å
α = 90.00°, β = 90.00°, γ = 90.00°
Space group P4/mmm (No. 123)
Symmetry-distinct sites (fractional):
Pu 0.000 0.000 0.166 x2
Ga 0.000 0.500 0.000 x2
Ga 0.000 0.500 0.328 x4
Ga 0.500 0.500 0.156 x2
Ga 0.500 0.500 0.500 x1
Sn 0.000 0.000 0.500 x1


Record 3
For AcGePt3, a crystal structure in Alexandria, relaxed with PBE gives the simulated XRD peak list in this record (Cu Ka).

Top 10 peaks for 10 to 80 degrees two-theta, sorted by position:
h k l, two_theta, I (rel.)
0 0 4, 31.74, 37
1 1 2, 33.80, 100
2 0 0, 42.55, 42
1 1 4, 44.02, 15
1 0 5, 45.49, 18
2 0 4, 54.04, 23
1 1 6, 57.82, 9
2 2 0, 61.75, 14
2 1 5, 64.05, 13
3 1 2, 72.28, 23

Structure:
a = 4.249 Å, b = 4.249 Å, c = 11.289 Å
α = 90.00°, β = 90.00°, γ = 90.00°
Space group I4mm (No. 107)
Symmetry-distinct sites (fractional):
Ac 0.000 0.000 0.000 x2
Ge 0.000 0.000 0.636 x2
Pt 0.000 0.000 0.419 x2
Pt 0.000 0.500 0.254 x4